[1]
Theoretical powder diffractogram
Compound: CaLa8Se12
Radiation: copper Kα
Structure: the GGA-PBE geometry in the Materials Project
No peak broadening, texture or thermal motion is included.

The 12 most intense peaks (2θ = 10–80°), most intense first:
| d_spacing | 2θ (°) | I/Imax |
| --- | --- | --- |
| 2.876 | 31.09 | 100.0 |
| 2.431 | 36.97 | 62.0 |
| 3.713 | 23.96 | 19.6 |
| 2.035 | 44.53 | 17.7 |
| 1.477 | 62.94 | 15.6 |
| 1.784 | 51.20 | 15.0 |
| 1.939 | 46.85 | 14.6 |
| 1.404 | 66.62 | 9.3 |
| 1.857 | 49.05 | 9.1 |
| 1.238 | 77.01 | 8.4 |
| 1.475 | 63.02 | 7.7 |
| 1.473 | 63.11 | 5.9 |

Crystal structure
```
data_CaLa8Se12
_chemical_formula_sum 'Ca2 La16 Se24'
_cell_length_a 9.1035
_cell_length_b 9.1035
_cell_length_c 15.0558
_cell_angle_alpha 72.46
_cell_angle_beta 72.46
_cell_angle_gamma 89.99
_space_group_name_H-M_alt 'P 1'
_space_group_IT_number 1
loop_
_space_group_symop_operation_xyz
'x,y,z'
loop_
_atom_site_label
_atom_site_fract_x
_atom_site_fract_y
_atom_site_fract_z
Ca1 0.0000 0.0000 0.0000
Ca2 0.1292 0.8708 0.5000
La1 0.1261 0.7424 0.2525
La2 0.1667 0.4063 0.6679
La3 0.2024 0.7061 0.8350
La4 0.2105 0.3240 0.0820
La5 0.3288 0.3280 0.3337
La6 0.4573 0.1996 0.8337
La7 0.4608 0.0733 0.5848
La8 0.4961 0.7466 0.9997
La9 0.5356 0.0375 0.1679
La10 0.5407 0.6607 0.4169
La11 0.6696 0.6576 0.6673
La12 0.7868 0.5404 0.1673
La13 0.7900 0.4114 0.9169
La14 0.8353 0.0731 0.3350
La15 0.8758 0.3669 0.4997
La16 0.8787 0.9902 0.7491
Se1 0.0295 0.4074 0.2830
Se2 0.1312 0.3588 0.8842
Se3 0.1474 0.6742 0.0504
Se4 0.1530 0.1661 0.5511
Se5 0.1796 0.0547 0.2862
Se6 0.1839 0.0504 0.7862
Se7 0.1986 0.5702 0.4521
Se8 0.2953 0.0237 0.0511
Se9 0.3695 0.7320 0.6184
Se10 0.4604 0.6885 0.2175
Se11 0.4796 0.5021 0.8848
Se12 0.4880 0.0019 0.3842
Se13 0.5130 0.3885 0.1160
Se14 0.5177 0.3838 0.6160
Se15 0.5366 0.9002 0.7830
Se16 0.6313 0.3504 0.3849
Se17 0.6994 0.0693 0.9521
Se18 0.8034 0.0182 0.5504
Se19 0.8134 0.8427 0.2152
Se20 0.8177 0.3312 0.7175
Se21 0.8451 0.7181 0.9521
Se22 0.8474 0.7158 0.4521
Se23 0.8613 0.2403 0.1184
Se24 0.9719 0.6842 0.7152
```

---

[2]
Theoretical powder diffractogram
Compound: CaLaSi4
Radiation: copper Kα
Structure: the GGA-PBE geometry in the Materials Project
No peak broadening, texture or thermal motion is included.

The 12 most intense peaks (2θ = 10–80°), most intense first:
| d_spacing | 2θ (°) | I/Imax |
| --- | --- | --- |
| 2.810 | 31.85 | 100.0 |
| 3.132 | 28.50 | 52.8 |
| 2.293 | 39.29 | 45.3 |
| 2.186 | 41.30 | 37.9 |
| 4.159 | 21.37 | 35.9 |
| 6.734 | 13.15 | 31.5 |
| 1.582 | 58.31 | 27.8 |
| 1.793 | 50.94 | 20.7 |
| 1.354 | 69.39 | 19.8 |
| 1.761 | 51.92 | 18.4 |
| 1.371 | 68.41 | 15.9 |
| 1.546 | 59.83 | 12.3 |

Crystal structure
```
data_CaLaSi4
_chemical_formula_sum 'Ca2 La2 Si8'
_cell_length_a 4.3724
_cell_length_b 4.3724
_cell_length_c 13.4681
_cell_angle_alpha 90.00
_cell_angle_beta 90.00
_cell_angle_gamma 90.00
_space_group_name_H-M_alt 'I -4 m 2'
_space_group_IT_number 119
_space_group_name_Hall 'I -4 -2'
loop_
_atom_site_label
_atom_site_fract_x
_atom_site_fract_y
_atom_site_fract_z
Ca1 0.0000 0.0000 0.0000
La1 0.0000 0.5000 0.2500
Si1 0.0000 0.0000 0.4139
Si2 0.0000 0.5000 0.6641
```

---

[3]
Theoretical powder diffractogram
Compound: Ca3LaSi8
Radiation: copper Kα
Structure: the GGA-PBE geometry in the Materials Project
No peak broadening, texture or thermal motion is included.

The 12 most intense peaks (2θ = 10–80°), most intense first:
| d_spacing | 2θ (°) | I/Imax |
| --- | --- | --- |
| 2.780 | 32.20 | 100.0 |
| 2.289 | 39.36 | 45.9 |
| 2.157 | 41.88 | 40.5 |
| 3.115 | 28.66 | 40.2 |
| 1.570 | 58.82 | 28.1 |
| 1.337 | 70.42 | 18.9 |
| 1.761 | 51.91 | 18.6 |
| 1.364 | 68.82 | 16.4 |
| 1.773 | 51.54 | 14.8 |
| 1.525 | 60.73 | 12.9 |
| 6.753 | 13.11 | 12.7 |
| 3.635 | 24.49 | 12.5 |

Crystal structure
```
data_Ca3LaSi8
_chemical_formula_sum 'Ca3 La1 Si8'
_cell_length_a 4.3137
_cell_length_b 4.3137
_cell_length_c 13.5064
_cell_angle_alpha 90.00
_cell_angle_beta 90.00
_cell_angle_gamma 90.00
_space_group_name_H-M_alt 'P -4 m 2'
_space_group_IT_number 115
loop_
_space_group_symop_operation_xyz
'x,y,z'
'y,-x,-z'
'-x,-y,z'
'-y,x,-z'
'-x,y,z'
'-y,-x,-z'
'x,-y,z'
'y,x,-z'
loop_
_atom_site_label
_atom_site_fract_x
_atom_site_fract_y
_atom_site_fract_z
Ca1 0.0000 0.0000 0.0000
Ca2 0.0000 0.5000 0.7509
La1 0.5000 0.5000 0.5000
Si1 0.0000 0.0000 0.4148
Si2 0.0000 0.5000 0.1649
Si3 0.0000 0.5000 0.3353
Si4 0.5000 0.5000 0.0849
```

---

[4]
Theoretical powder diffractogram
Compound: CaLaZn2
Radiation: copper Kα
Structure: the GGA-PBE geometry in the Materials Project
No peak broadening, texture or thermal motion is included.

The 11 most intense peaks (2θ = 10–80°), most intense first:
| d_spacing | 2θ (°) | I/Imax |
| --- | --- | --- |
| 2.635 | 34.03 | 100.0 |
| 1.521 | 60.90 | 35.2 |
| 4.302 | 20.64 | 19.5 |
| 1.863 | 48.89 | 17.5 |
| 2.247 | 40.13 | 11.0 |
| 1.317 | 71.64 | 10.6 |
| 1.710 | 53.61 | 4.9 |
| 1.434 | 65.03 | 3.7 |
| 1.260 | 75.47 | 3.7 |
| 3.726 | 23.88 | 1.6 |
| 1.666 | 55.12 | 0.6 |

Crystal structure
```
data_CaLaZn2
_chemical_formula_sum 'Ca4 La4 Zn8'
_cell_length_a 7.4520
_cell_length_b 7.4520
_cell_length_c 7.4520
_cell_angle_alpha 90.00
_cell_angle_beta 90.00
_cell_angle_gamma 90.00
_space_group_name_H-M_alt 'F m -3 m'
_space_group_IT_number 225
_space_group_name_Hall '-F 4 2 3'
loop_
_atom_site_label
_atom_site_fract_x
_atom_site_fract_y
_atom_site_fract_z
Ca1 0.0000 0.0000 0.0000
La1 0.0000 0.0000 0.5000
Zn1 0.2500 0.2500 0.2500
```

---

[5]
Theoretical powder diffractogram
Compound: LiCaMg14
Radiation: copper Kα
Structure: the GGA-PBE geometry in the Materials Project
No peak broadening, texture or thermal motion is included.

The 12 most intense peaks (2θ = 10–80°), most intense first:
| d_spacing | 2θ (°) | I/Imax |
| --- | --- | --- |
| 2.478 | 36.25 | 100.0 |
| 2.579 | 34.79 | 24.8 |
| 2.826 | 31.66 | 24.4 |
| 1.379 | 67.99 | 19.0 |
| 1.469 | 63.32 | 17.7 |
| 1.632 | 56.39 | 17.5 |
| 1.905 | 47.75 | 14.6 |
| 1.363 | 68.90 | 13.7 |
| 4.957 | 17.90 | 6.6 |
| 1.239 | 76.94 | 3.2 |
| 1.413 | 66.13 | 2.6 |
| 3.111 | 28.69 | 2.5 |

Crystal structure
```
data_LiCaMg14
_chemical_formula_sum 'Li1 Ca1 Mg14'
_cell_length_a 6.5263
_cell_length_b 6.5263
_cell_length_c 10.3151
_cell_angle_alpha 90.00
_cell_angle_beta 90.00
_cell_angle_gamma 120.00
_space_group_name_H-M_alt 'P -6 m 2'
_space_group_IT_number 187
_space_group_name_Hall 'P -6 2'
loop_
_atom_site_label
_atom_site_fract_x
_atom_site_fract_y
_atom_site_fract_z
Li1 0.0000 0.0000 0.0000
Ca1 0.0000 0.0000 0.5000
Mg1 0.0012 0.5006 0.0000
Mg2 0.0055 0.5028 0.5000
Mg3 0.1679 0.3359 0.2437
Mg4 0.6667 0.3333 0.2529
```

---

[6]
Theoretical powder diffractogram
Compound: LiCaMg6
Radiation: copper Kα
Structure: the GGA-PBE geometry in the Materials Project
No peak broadening, texture or thermal motion is included.

The 12 most intense peaks (2θ = 10–80°), most intense first:
| d_spacing | 2θ (°) | I/Imax |
| --- | --- | --- |
| 2.509 | 35.79 | 100.0 |
| 2.523 | 35.59 | 53.9 |
| 2.624 | 34.17 | 38.5 |
| 2.856 | 31.32 | 28.4 |
| 1.401 | 66.77 | 19.4 |
| 1.492 | 62.24 | 18.2 |
| 1.657 | 55.45 | 17.7 |
| 1.932 | 47.03 | 17.3 |
| 3.866 | 23.00 | 15.5 |
| 1.378 | 68.03 | 14.3 |
| 2.877 | 31.08 | 12.3 |
| 1.495 | 62.10 | 9.7 |

Crystal structure
```
data_LiCaMg6
_chemical_formula_sum 'Li2 Ca2 Mg12'
_cell_length_a 5.2474
_cell_length_b 6.5804
_cell_length_c 11.5085
_cell_angle_alpha 90.00
_cell_angle_beta 90.00
_cell_angle_gamma 90.00
_space_group_name_H-M_alt 'A m m 2'
_space_group_IT_number 38
loop_
_space_group_symop_operation_xyz
'x,y,z'
'-x,-y,z'
'-x,y,z'
'x,-y,z'
'x,y+1/2,z+1/2'
'-x,-y+1/2,z+1/2'
'-x,y+1/2,z+1/2'
'x,-y+1/2,z+1/2'
loop_
_atom_site_label
_atom_site_fract_x
_atom_site_fract_y
_atom_site_fract_z
Li1 0.0000 0.0000 0.0000
Ca1 0.5000 0.0000 0.1686
Mg1 0.0000 0.0000 0.5050
Mg2 0.0000 0.2436 0.7573
Mg3 0.5000 0.0000 0.6739
Mg4 0.5000 0.2444 0.9190
```